For ErBiI6, DFT lattice parameters and positions (GGA-PBE) gives the computed X-ray diffraction stick pattern in this record (Cu Kα X-rays).
Peak positions follow from Bragg's law for the DFT cell and can differ from measured ones.

Cell and atoms:
```
data_ErBiI6
_chemical_formula_sum 'Er2 Bi2 I12'
_symmetry_space_group_name_H-M 'C 1 2 1'
_symmetry_Int_Tables_number 5
_cell_length_a 7.7215
_cell_length_b 13.3910
_cell_length_c 7.7257
_cell_angle_alpha 90.00
_cell_angle_beta 109.01
_cell_angle_gamma 90.00
loop_
_symmetry_equiv_pos_as_xyz
'x,y,z'
'-x,y,-z'
'x+1/2,y+1/2,z'
'-x+1/2,y+1/2,-z'
loop_
_atom_site_label
_atom_site_type_symbol
_atom_site_fract_x
_atom_site_fract_y
_atom_site_fract_z
Er1 Er 0.0000 0.0000 0.0000
Bi1 Bi 0.0000 0.3322 0.0000
I1 I 0.2257 0.1614 0.2464
I2 I 0.2401 0.9930 0.7585
I3 I 0.2464 0.8437 0.2414
```

Largest 8 diffraction maxima, in order of rising 2θ, 2θ = 10–80°:
- 2θ 12.12, intensity 46, hkl 0 0 1
- 2θ 13.82, intensity 23, hkl 1 1 0
- 2θ 23.39, intensity 25, hkl 2 0 -1
- 2θ 24.41, intensity 35, hkl 0 0 2
- 2θ 28.21, intensity 100, hkl 1 3 1
- 2θ 28.39, intensity 49, hkl 2 0 -2
- 2θ 40.44, intensity 92, hkl 1 3 -3
- 2θ 66.14, intensity 25, hkl 0 6 4

For ErBiI2O2, DFT lattice parameters and positions (GGA-PBE) gives the computed X-ray diffraction stick pattern in this record (Cu Kα X-rays).
Peak positions follow from Bragg's law for the DFT cell and can differ from measured ones.

Cell and atoms:
```
data_ErBiI2O2
_chemical_formula_sum 'Er1 Bi1 I2 O2'
_symmetry_space_group_name_H-M 'P 4 m m'
_symmetry_Int_Tables_number 99
_cell_length_a 3.9529
_cell_length_b 3.9529
_cell_length_c 9.2562
_cell_angle_alpha 90.00
_cell_angle_beta 90.00
_cell_angle_gamma 90.00
loop_
_symmetry_equiv_pos_as_xyz
'x,y,z'
'-y,x,z'
'-x,-y,z'
'y,-x,z'
'-x,y,z'
'y,x,z'
'x,-y,z'
'-y,-x,z'
loop_
_atom_site_label
_atom_site_type_symbol
_atom_site_fract_x
_atom_site_fract_y
_atom_site_fract_z
Er1 Er 0.0000 0.0000 0.0000
Bi1 Bi 0.5000 0.5000 0.7500
I1 I 0.0000 0.0000 0.5457
I2 I 0.5000 0.5000 0.2009
O1 O 0.0000 0.5000 0.8859
```

Largest 8 diffraction maxima, in order of rising 2θ, 2θ = 10–80°:
- 2θ 29.72, intensity 100, hkl 1 0 2
- 2θ 32.02, intensity 42, hkl 1 1 0
- 2θ 36.96, intensity 14, hkl 1 0 3
- 2θ 45.92, intensity 19, hkl 2 0 0
- 2θ 51.25, intensity 16, hkl 1 1 4
- 2θ 55.66, intensity 35, hkl 2 1 2
- 2θ 59.93, intensity 9, hkl 1 1 5
- 2θ 76.16, intensity 7, hkl 3 1 0

For Er3Lu3BiTeOs, DFT lattice parameters and positions (GGA-PBE) gives the computed X-ray diffraction stick pattern in this record (Cu Kα X-rays).
Peak positions follow from Bragg's law for the DFT cell and can differ from measured ones.

Cell and atoms:
```
data_Er3Lu3BiTeOs
_chemical_formula_sum 'Er3 Lu3 Bi1 Te1 Os1'
_symmetry_space_group_name_H-M 'P -6'
_symmetry_Int_Tables_number 174
_cell_length_a 8.1588
_cell_length_b 8.1588
_cell_length_c 4.1318
_cell_angle_alpha 90.00
_cell_angle_beta 90.00
_cell_angle_gamma 120.00
loop_
_symmetry_equiv_pos_as_xyz
'x,y,z'
'-x+y,-x,-z'
'-y,x-y,z'
'x,y,-z'
'-x+y,-x,z'
'-y,x-y,-z'
loop_
_atom_site_label
_atom_site_type_symbol
_atom_site_fract_x
_atom_site_fract_y
_atom_site_fract_z
Er1 Er 0.0016 0.6176 0.0000
Lu1 Lu 0.0011 0.2348 0.5000
Bi1 Bi 0.6667 0.3333 0.5000
Te1 Te 0.3333 0.6667 0.5000
Os1 Os 0.0000 0.0000 0.0000
```

Largest 8 diffraction maxima, in order of rising 2θ, 2θ = 10–80°:
- 2θ 30.80, intensity 100, hkl 1 1 1
- 2θ 33.37, intensity 78, hkl 2 0 1
- 2θ 33.56, intensity 52, hkl 1 2 0
- 2θ 38.21, intensity 47, hkl 3 0 0
- 2θ 40.21, intensity 61, hkl 1 2 1
- 2θ 43.82, intensity 28, hkl 0 0 2
- 2θ 59.52, intensity 26, hkl 3 0 2
- 2θ 61.44, intensity 32, hkl 3 2 1

For NaErBi, DFT lattice parameters and positions (GGA-PBE) gives the computed X-ray diffraction stick pattern in this record (Cu Kα X-rays).
Peak positions follow from Bragg's law for the DFT cell and can differ from measured ones.

Cell and atoms:
```
data_NaErBi
_chemical_formula_sum 'Na4 Er4 Bi4'
_symmetry_space_group_name_H-M 'F -4 3 m'
_symmetry_Int_Tables_number 216
_symmetry_space_group_name_Hall 'F -4 2 3'
_cell_length_a 7.0773
_cell_length_b 7.0773
_cell_length_c 7.0773
_cell_angle_alpha 90.00
_cell_angle_beta 90.00
_cell_angle_gamma 90.00
loop_
_atom_site_label
_atom_site_type_symbol
_atom_site_fract_x
_atom_site_fract_y
_atom_site_fract_z
Na1 Na 0.0000 0.0000 0.0000
Er1 Er 0.2500 0.2500 0.2500
Bi1 Bi 0.2500 0.2500 0.7500
```

Largest 8 diffraction maxima, in order of rising 2θ, 2θ = 10–80°:
- 2θ 21.75, intensity 3, hkl 1 1 1
- 2θ 25.17, intensity 95, hkl 2 0 0
- 2θ 35.89, intensity 100, hkl 2 2 0
- 2θ 44.34, intensity 29, hkl 2 2 2
- 2θ 51.66, intensity 18, hkl 4 0 0
- 2θ 58.31, intensity 39, hkl 4 2 0
- 2θ 64.50, intensity 37, hkl 4 2 2
- 2θ 76.08, intensity 12, hkl 4 4 0

For NdEr2Bi3, DFT lattice parameters and positions (GGA-PBE) gives the computed X-ray diffraction stick pattern in this record (Cu Kα X-rays).
Peak positions follow from Bragg's law for the DFT cell and can differ from measured ones.

Cell and atoms:
```
data_NdEr2Bi3
_chemical_formula_sum 'Nd1 Er2 Bi3'
_symmetry_space_group_name_H-M 'P -3 m 1'
_symmetry_Int_Tables_number 164
_symmetry_space_group_name_Hall '-P 3 2"'
_cell_length_a 4.4751
_cell_length_b 4.4751
_cell_length_c 10.9911
_cell_angle_alpha 90.00
_cell_angle_beta 90.00
_cell_angle_gamma 120.00
loop_
_atom_site_label
_atom_site_type_symbol
_atom_site_fract_x
_atom_site_fract_y
_atom_site_fract_z
Nd1 Nd 0.0000 0.0000 0.0000
Er1 Er 0.3333 0.6667 0.3373
Bi1 Bi 0.0000 0.0000 0.5000
Bi2 Bi 0.3333 0.6667 0.8242
```

Largest 8 diffraction maxima, in order of rising 2θ, 2θ = 10–80°:
- 2θ 28.18, intensity 100, hkl 1 0 2
- 2θ 40.27, intensity 78, hkl 1 1 0
- 2θ 49.78, intensity 7, hkl 0 0 6
- 2θ 49.90, intensity 21, hkl 0 2 2
- 2θ 58.26, intensity 13, hkl 2 0 4
- 2θ 65.90, intensity 18, hkl 1 1 6
- 2θ 66.00, intensity 19, hkl 2 1 2
- 2θ 73.24, intensity 21, hkl 3 0 0

For Er2BiO4, DFT lattice parameters and positions (GGA-PBE) gives the computed X-ray diffraction stick pattern in this record (Cu Kα X-rays).
Peak positions follow from Bragg's law for the DFT cell and can differ from measured ones.

Cell and atoms:
a = 9.7136 Å, b = 9.7136 Å, c = 9.7136 Å
α = 90.00°, β = 90.00°, γ = 90.00°
Space group Fd-3m (No. 227, origin choice 2)
Unique sites:
Er1 0.0000 0.0000 0.0000 x16
Bi1 0.1250 0.1250 0.6250 x8
O1 0.0186 0.0186 0.2314 x32

Largest 8 diffraction maxima, in order of rising 2θ, 2θ = 10–80°:
- 2θ 25.94, intensity 35, hkl 2 2 0
- 2θ 30.52, intensity 100, hkl 3 1 1
- 2θ 31.92, intensity 23, hkl 2 2 2
- 2θ 45.76, intensity 15, hkl 4 2 2
- 2θ 48.71, intensity 41, hkl 5 1 1
- 2θ 53.35, intensity 38, hkl 4 4 0
- 2θ 62.72, intensity 14, hkl 5 3 3
- 2θ 75.12, intensity 23, hkl 5 5 3

For ErBiS2O, DFT lattice parameters and positions (GGA-PBE) gives the computed X-ray diffraction stick pattern in this record (Cu Kα X-rays).
Peak positions follow from Bragg's law for the DFT cell and can differ from measured ones.

Cell and atoms:
```
data_ErBiS2O
_chemical_formula_sum 'Er2 Bi2 S4 O2'
_symmetry_space_group_name_H-M 'P 4/n m m'
_symmetry_Int_Tables_number 129
_cell_length_a 3.8959
_cell_length_b 3.8959
_cell_length_c 14.0782
_cell_angle_alpha 90.00
_cell_angle_beta 90.00
_cell_angle_gamma 90.00
loop_
_symmetry_equiv_pos_as_xyz
'x,y,z'
'-x,-y,-z'
'-y+1/2,x,z'
'y+1/2,-x,-z'
'-x+1/2,-y+1/2,z'
'x+1/2,y+1/2,-z'
'y,-x+1/2,z'
'-y,x+1/2,-z'
'x+1/2,-y,-z'
'-x+1/2,y,z'
'-y,-x,-z'
'y,x,z'
'-x,y+1/2,-z'
'x,-y+1/2,z'
'y+1/2,x+1/2,-z'
'-y+1/2,-x+1/2,z'
loop_
_atom_site_label
_atom_site_type_symbol
_atom_site_fract_x
_atom_site_fract_y
_atom_site_fract_z
Er1 Er 0.2500 0.2500 0.0776
Bi1 Bi 0.2500 0.2500 0.6378
S1 S 0.2500 0.2500 0.3982
S2 S 0.2500 0.2500 0.8180
O1 O 0.2500 0.7500 0.0000
```

Largest 8 diffraction maxima, in order of rising 2θ, 2θ = 10–80°:
- 2θ 18.91, intensity 25, hkl 0 0 3
- 2θ 25.31, intensity 26, hkl 0 0 4
- 2θ 26.14, intensity 100, hkl 1 0 2
- 2θ 32.50, intensity 65, hkl 1 1 0
- 2θ 39.49, intensity 43, hkl 1 0 5
- 2θ 41.63, intensity 35, hkl 1 1 4
- 2θ 46.63, intensity 27, hkl 2 0 0
- 2θ 54.24, intensity 29, hkl 2 1 2

For Er3Tm3BiTeOs, DFT lattice parameters and positions (GGA-PBE) gives the computed X-ray diffraction stick pattern in this record (Cu Kα X-rays).
Peak positions follow from Bragg's law for the DFT cell and can differ from measured ones.

Cell and atoms:
```
data_Er3Tm3BiTeOs
_chemical_formula_sum 'Er3 Tm3 Bi1 Te1 Os1'
_symmetry_space_group_name_H-M 'P -6'
_symmetry_Int_Tables_number 174
_cell_length_a 8.2020
_cell_length_b 8.2020
_cell_length_c 4.1260
_cell_angle_alpha 90.00
_cell_angle_beta 90.00
_cell_angle_gamma 120.00
loop_
_symmetry_equiv_pos_as_xyz
'x,y,z'
'-x+y,-x,-z'
'-y,x-y,z'
'x,y,-z'
'-x+y,-x,z'
'-y,x-y,-z'
loop_
_atom_site_label
_atom_site_type_symbol
_atom_site_fract_x
_atom_site_fract_y
_atom_site_fract_z
Er1 Er 0.0533 0.7177 0.0000
Tm1 Tm 0.4322 0.0976 0.5000
Bi1 Bi 0.0000 0.0000 0.5000
Te1 Te 0.3333 0.6667 0.5000
Os1 Os 0.6667 0.3333 0.0000
```

Largest 8 diffraction maxima, in order of rising 2θ, 2θ = 10–80°:
- 2θ 30.74, intensity 74, hkl 1 1 1
- 2θ 33.32, intensity 100, hkl 2 0 1
- 2θ 38.00, intensity 36, hkl 3 0 0
- 2θ 40.07, intensity 45, hkl 2 1 1
- 2θ 43.89, intensity 21, hkl 0 0 2
- 2θ 56.23, intensity 18, hkl 2 1 2
- 2θ 59.42, intensity 20, hkl 3 0 2
- 2θ 61.15, intensity 25, hkl 2 3 1